BaCeGa2Pt2: simulated X-ray diffraction stick pattern (a wavelength of 1.5418 Å), based on a cell relaxed with GGA-PBE.
Neutral-atom scattering factors, no anomalous dispersion.

The 10 most intense peaks (2θ = 10–90°), low angle first:
2θ 10.90, I 24
2θ 25.18, I 29
2θ 31.69, I 100
2θ 33.11, I 11
2θ 39.72, I 69
2θ 40.48, I 12
2θ 51.68, I 25
2θ 52.65, I 17
2θ 67.10, I 23
2θ 72.09, I 12

Structure:
Cell: 4.5383 4.5383 8.1160 Å, 90.00 90.00 120.00°
Space group P-3m1 (No. 164)
Symmetry-distinct sites (fractional):
Ba 0.0000 0.0000 0.0000 (multiplicity 1)
Ce 0.0000 0.0000 0.5000 (multiplicity 1)
Ga 0.3333 0.6667 0.2921 (multiplicity 2)
Pt 0.3333 0.6667 0.6943 (multiplicity 2)

=====

BaCe2GeO8: simulated X-ray diffraction stick pattern (a wavelength of 1.5418 Å), based on a cell relaxed with GGA-PBE.
Neutral-atom scattering factors, no anomalous dispersion.

The 10 most intense peaks (2θ = 10–90°), low angle first:
2θ 26.52, I 100
2θ 26.89, I 94
2θ 28.44, I 62
2θ 28.70, I 54
2θ 29.66, I 42
2θ 29.86, I 34
2θ 33.42, I 23
2θ 37.76, I 23
2θ 38.49, I 24
2θ 45.04, I 23

Structure:
Cell: 4.6819 4.7693 8.0574 Å, 92.37 92.23 90.68°
Space group P-1 (No. 2)
Symmetry-distinct sites (fractional):
Ba 0.0000 0.0000 0.0000 (multiplicity 1)
Ce 0.4598 0.4638 0.7057 (multiplicity 2)
Ge 0.0000 0.0000 0.5000 (multiplicity 1)
O 0.1478 0.7659 0.3087 (multiplicity 2)
O 0.2144 0.8415 0.6888 (multiplicity 2)
O 0.2909 0.2747 0.4762 (multiplicity 2)
O 0.4317 0.3597 0.0020 (multiplicity 2)